For Pm2Tm3Pb, a GGA-PBE-relaxed structure gives the calculated XRD peak list in this record (λ = 1.5418 Å (Cu Kα)).
Neutral-atom scattering factors, no anomalous dispersion.

Cell and atoms:
```
Pm2Tm3Pb
1.0
2.425 -7.601 0.000
2.425 7.601 0.000
0.000 0.000 4.930
Pm Tm Pb
2 3 1
Cartesian
2.425 5.148 0.000
2.425 -5.148 0.000
0.000 0.000 2.465
2.425 2.553 2.465
2.425 -2.553 2.465
2.425 0.000 0.000
```

The 10 most intense peaks (2θ from 10° to 90°), by intensity:
Position (°2θ), Rel. int.
31.3, 100
35.4, 18
36.5, 17
37.1, 16
61.1, 15
62.4, 14
63.2, 14
65.3, 12
51.7, 12
52.2, 12

***

For Pr7Nd2Sc2, a GGA-PBE-relaxed structure gives the calculated XRD peak list in this record (λ = 1.5418 Å (Cu Kα)).
Neutral-atom scattering factors, no anomalous dispersion.

Cell and atoms:
```
Pr7Nd2Sc2
1.0
4.277 -5.453 0.000
4.277 5.453 0.000
-1.950 0.000 8.109
Pr Nd Sc
7 2 2
Cartesian
0.000 0.000 0.000
0.948 2.322 6.657
0.767 0.000 3.882
5.656 2.322 1.451
0.948 -2.322 6.657
5.837 0.000 4.227
5.656 -2.322 1.451
3.245 0.000 1.490
3.358 0.000 6.619
3.302 2.309 4.054
3.302 -2.309 4.054
```

The 10 most intense peaks (2θ from 10° to 90°), by intensity:
Position (°2θ), Rel. int.
31.0, 100
31.6, 69
33.2, 65
32.8, 40
32.6, 37
29.9, 24
53.0, 22
27.9, 22
27.4, 22
27.0, 21

***

For Tb14ErTm, a GGA-PBE-relaxed structure gives the calculated XRD peak list in this record (λ = 1.5418 Å (Cu Kα)).
Neutral-atom scattering factors, no anomalous dispersion.

Cell and atoms:
```
Tb14ErTm
1.0
7.097 0.000 0.000
0.000 7.097 0.000
0.000 0.000 10.015
Tb Er Tm
14 1 1
Cartesian
0.000 0.000 0.000
0.000 3.548 0.000
0.000 3.548 5.007
1.775 1.775 2.515
1.775 1.775 7.500
1.775 5.322 2.515
1.775 5.322 7.500
3.548 0.000 0.000
3.548 0.000 5.007
3.548 3.548 0.000
5.322 1.775 2.515
5.322 1.775 7.500
5.322 5.322 2.515
5.322 5.322 7.500
0.000 0.000 5.007
3.548 3.548 5.007
```

The 10 most intense peaks (2θ from 10° to 90°), by intensity:
Position (°2θ), Rel. int.
30.9, 100
35.8, 51
51.5, 36
61.3, 29
84.2, 18
61.4, 14
64.4, 12
86.8, 11
87.0, 6
75.8, 4

***

For CaNiIr2, a GGA-PBE-relaxed structure gives the calculated XRD peak list in this record (λ = 1.5418 Å (Cu Kα)).
Neutral-atom scattering factors, no anomalous dispersion.

Cell and atoms:
```
CaNiIr2
1.0
2.804 0.000 0.000
0.000 4.376 0.000
-1.368 0.000 5.299
Ca Ni Ir
1 1 2
Cartesian
0.000 0.000 0.000
0.035 2.188 4.137
0.039 0.000 2.721
1.437 2.188 1.995
```

The 10 most intense peaks (2θ from 10° to 90°), by intensity:
Position (°2θ), Rel. int.
16.7, 100
39.1, 87
39.8, 45
41.3, 45
46.1, 26
46.4, 25
44.8, 18
33.8, 16
73.8, 14
56.2, 14

***

For InH7N2OF4, a GGA-PBE-relaxed structure gives the calculated XRD peak list in this record (λ = 1.5418 Å (Cu Kα)).
Neutral-atom scattering factors, no anomalous dispersion.

Cell and atoms:
```
InH7N2OF4
1.0
6.811 0.000 0.000
0.000 8.791 0.000
0.000 0.000 9.374
In H N O F
4 28 8 4 16
Cartesian
0.892 1.816 0.454
2.514 6.975 5.141
4.297 2.579 8.920
5.920 6.212 4.233
0.019 8.548 2.276
0.341 0.691 5.458
0.497 3.536 5.702
0.659 5.962 7.654
1.393 2.522 6.718
1.577 0.041 2.623
1.695 6.276 0.371
1.711 2.515 5.059
1.828 8.750 7.311
2.012 6.269 2.031
2.747 2.829 2.966
2.909 5.255 1.015
3.065 8.100 0.771
3.387 0.243 6.964
3.424 4.638 7.098
3.746 3.704 3.916
3.903 0.860 3.672
4.064 7.224 1.721
4.799 1.873 2.657
4.983 4.355 6.751
5.100 6.910 9.003
5.117 1.881 4.316
5.234 4.436 2.064
5.418 6.918 7.344
6.153 1.567 6.408
6.314 7.931 8.359
6.470 5.087 8.603
6.792 4.153 2.411
0.103 6.012 8.522
0.947 2.591 5.774
2.458 6.200 1.087
3.303 2.779 3.834
3.508 7.175 0.853
4.353 1.804 3.600
5.864 6.987 8.288
6.708 1.616 5.540
0.875 0.142 1.921
2.531 8.650 6.608
4.281 4.254 7.453
5.936 4.537 2.766
0.398 7.472 5.511
0.705 0.284 8.399
1.210 3.367 1.808
1.210 6.045 3.593
2.196 2.746 8.280
2.195 5.424 6.495
2.700 8.507 3.712
3.007 1.319 0.824
3.804 5.715 3.864
4.111 4.112 0.975
4.616 1.029 7.566
4.616 7.141 5.781
5.601 1.650 1.094
5.601 7.762 2.879
6.106 4.679 5.663
6.413 3.076 8.551
```

The 10 most intense peaks (2θ from 10° to 90°), by intensity:
Position (°2θ), Rel. int.
13.8, 100
27.8, 31
19.0, 20
28.1, 18
20.2, 17
25.2, 17
44.4, 15
34.1, 10
51.7, 9
38.6, 8

***

For CaCeIr4, a GGA-PBE-relaxed structure gives the calculated XRD peak list in this record (λ = 1.5418 Å (Cu Kα)).
Neutral-atom scattering factors, no anomalous dispersion.

Cell and atoms:
```
CaCeIr4
1.0
0.000 3.804 3.804
3.804 0.000 3.804
3.804 3.804 0.000
Ca Ce Ir
1 1 4
Cartesian
0.000 0.000 0.000
1.902 1.902 1.902
4.758 2.850 2.850
2.850 4.758 2.850
2.850 2.850 4.758
4.758 4.758 4.758
```

The 10 most intense peaks (2θ from 10° to 90°), by intensity:
Position (°2θ), Rel. int.
39.3, 100
41.1, 66
20.2, 45
63.5, 33
70.0, 31
84.5, 26
47.8, 18
52.4, 12
83.3, 12
33.3, 10

***

For NbTl3Sn3S8, a GGA-PBE-relaxed structure gives the calculated XRD peak list in this record (λ = 1.5418 Å (Cu Kα)).
Neutral-atom scattering factors, no anomalous dispersion.

Cell and atoms:
```
NbTl3Sn3S8
1.0
7.790 0.000 0.000
3.886 6.772 0.000
3.871 2.237 7.540
Nb Tl Sn S
1 3 3 8
Cartesian
0.000 0.000 0.000
1.936 1.119 3.770
3.878 4.505 3.770
5.830 1.119 3.770
1.943 3.386 0.000
3.895 0.000 0.000
5.838 3.386 0.000
7.760 6.923 6.156
5.681 3.283 6.151
5.694 5.730 1.385
3.881 2.244 1.573
11.666 6.765 5.967
9.852 3.279 6.154
9.866 5.727 1.389
7.787 2.087 1.384
```

The 10 most intense peaks (2θ from 10° to 90°), by intensity:
Position (°2θ), Rel. int.
30.8, 100
27.5, 34
23.6, 32
41.6, 25
46.5, 22
48.4, 17
13.7, 17
27.6, 17
15.3, 15
41.8, 13

***

For CeMgSn3, a GGA-PBE-relaxed structure gives the calculated XRD peak list in this record (λ = 1.5418 Å (Cu Kα)).
Neutral-atom scattering factors, no anomalous dispersion.

Cell and atoms:
```
CeMgSn3
1.0
13.301 0.000 0.000
0.000 6.249 0.000
0.000 0.000 6.351
Ce Mg Sn
4 4 12
Cartesian
2.487 0.005 1.588
2.487 3.119 4.763
10.813 3.130 1.588
10.813 6.244 4.763
5.180 1.562 0.000
5.180 1.562 3.176
8.121 4.687 0.000
8.121 4.687 3.176
0.012 1.562 0.000
0.012 1.562 3.176
3.079 3.137 1.588
3.079 6.237 4.763
5.541 4.363 4.763
5.541 5.011 1.588
7.760 1.239 4.763
7.760 1.886 1.588
10.222 0.012 1.588
10.222 3.112 4.763
13.288 4.687 0.000
13.288 4.687 3.176
```

The 10 most intense peaks (2θ from 10° to 90°), by intensity:
Position (°2θ), Rel. int.
31.6, 100
33.7, 71
31.2, 54
34.7, 49
35.1, 46
41.1, 42
40.5, 33
58.1, 27
68.4, 26
49.2, 25

***

For KTbAgO3, a GGA-PBE-relaxed structure gives the calculated XRD peak list in this record (λ = 1.5418 Å (Cu Kα)).
Neutral-atom scattering factors, no anomalous dispersion.

Cell and atoms:
```
KTbAgO3
1.0
7.279 0.000 0.000
0.000 3.589 0.000
-2.014 0.000 8.811
K Tb Ag O
2 2 2 6
Cartesian
0.876 0.897 1.649
4.389 2.692 7.162
0.836 2.692 7.572
4.429 0.897 1.239
-0.196 0.897 5.026
5.461 2.692 3.785
-0.672 0.897 7.363
0.799 2.692 5.168
2.956 2.692 0.996
2.309 0.897 7.815
4.466 0.897 3.643
5.937 2.692 1.448
```

The 10 most intense peaks (2θ from 10° to 90°), by intensity:
Position (°2θ), Rel. int.
14.2, 100
35.6, 48
30.6, 25
32.2, 24
28.6, 19
30.4, 15
45.1, 12
43.4, 9
35.9, 8
50.9, 8

***

For CePuMgSn, a GGA-PBE-relaxed structure gives the calculated XRD peak list in this record (λ = 1.5418 Å (Cu Kα)).
Neutral-atom scattering factors, no anomalous dispersion.

Cell and atoms:
```
CePuMgSn
1.0
-2.312 2.312 4.831
2.312 -2.312 4.831
2.312 2.312 -4.831
Ce Pu Mg Sn
1 1 1 1
Cartesian
0.000 0.000 0.000
0.000 2.312 2.415
2.312 0.000 2.415
0.000 0.000 4.831
```

The 10 most intense peaks (2θ from 10° to 90°), by intensity:
Position (°2θ), Rel. int.
33.1, 100
21.3, 47
39.0, 32
66.9, 27
55.0, 24
37.2, 18
64.5, 15
33.9, 15
44.8, 14
69.4, 12